Theoretical powder X-ray diffraction pattern
Compound: Ti2Ge6Mo
Radiation: Cu Kα (weighted mean of Kα1 and Kα2)
Structure: the GGA-PBE geometry in Alexandria

Structural model:
```
data_Ti2Ge6Mo
_cell_length_a 4.9234
_cell_length_b 8.5336
_cell_length_c 6.7665
_cell_angle_alpha 90.00
_cell_angle_beta 90.00
_cell_angle_gamma 90.00
_space_group_name_H-M_alt 'C 2 2 2'
_space_group_IT_number 21
loop_
_space_group_symop_operation_xyz
'x,y,z'
'-x,-y,z'
'x,-y,-z'
'-x,y,-z'
'x+1/2,y+1/2,z'
'-x+1/2,-y+1/2,z'
'x+1/2,-y+1/2,-z'
'-x+1/2,y+1/2,-z'
loop_
_atom_site_label
_atom_site_type_symbol
_atom_site_fract_x
_atom_site_fract_y
_atom_site_fract_z
_atom_site_occupancy
Ti1 Ti 0.2500 0.2500 0.1658 1
Ge1 Ge 0.0000 0.3307 0.5000 1
Ge2 Ge 0.2442 0.4178 0.8320 1
Mo1 Mo 0.0000 0.0000 0.5000 1
```

Principal peaks in the range 2θ = 10–90°, by angle:
d 2.314, 38.9 deg, rel. 100
d 2.255, 40.0 deg, rel. 35
d 1.991, 45.6 deg, rel. 64
d 1.394, 67.1 deg, rel. 19
d 1.391, 67.3 deg, rel. 19
d 1.311, 72.1 deg, rel. 16

Theoretical powder X-ray diffraction pattern
Compound: V4Ge4Mo
Radiation: Cu Kα (weighted mean of Kα1 and Kα2)
Structure: the GGA-PBE geometry in Alexandria

Structural model:
```
data_V4Ge4Mo
_cell_length_a 7.4553
_cell_length_b 7.4553
_cell_length_c 4.9156
_cell_angle_alpha 90.00
_cell_angle_beta 90.00
_cell_angle_gamma 90.00
_space_group_name_H-M_alt 'I 4/m'
_space_group_IT_number 87
_space_group_name_Hall '-I 4'
loop_
_atom_site_label
_atom_site_type_symbol
_atom_site_fract_x
_atom_site_fract_y
_atom_site_fract_z
_atom_site_occupancy
V1 V 0.1165 0.7908 0.0000 1
Ge1 Ge 0.0576 0.6613 0.5000 1
Mo1 Mo 0.0000 0.0000 0.5000 1
```

Principal peaks in the range 2θ = 10–90°, by angle:
d 2.458, 36.6 deg, rel. 61
d 2.358, 38.2 deg, rel. 44
d 2.218, 40.7 deg, rel. 100
d 1.906, 47.7 deg, rel. 48
d 1.701, 53.9 deg, rel. 31
d 1.368, 68.6 deg, rel. 20

What did the first record say?
Theoretical powder X-ray diffraction pattern
Compound: Ti2Ge6Mo
Radiation: Cu Kα (weighted mean of Kα1 and Kα2)
Structure: the GGA-PBE geometry in Alexandria

Structural model:
```
data_Ti2Ge6Mo
_cell_length_a 4.9234
_cell_length_b 8.5336
_cell_length_c 6.7665
_cell_angle_alpha 90.00
_cell_angle_beta 90.00
_cell_angle_gamma 90.00
_space_group_name_H-M_alt 'C 2 2 2'
_space_group_IT_number 21
loop_
_space_group_symop_operation_xyz
'x,y,z'
'-x,-y,z'
'x,-y,-z'
'-x,y,-z'
'x+1/2,y+1/2,z'
'-x+1/2,-y+1/2,z'
'x+1/2,-y+1/2,-z'
'-x+1/2,y+1/2,-z'
loop_
_atom_site_label
_atom_site_type_symbol
_atom_site_fract_x
_atom_site_fract_y
_atom_site_fract_z
_atom_site_occupancy
Ti1 Ti 0.2500 0.2500 0.1658 1
Ge1 Ge 0.0000 0.3307 0.5000 1
Ge2 Ge 0.2442 0.4178 0.8320 1
Mo1 Mo 0.0000 0.0000 0.5000 1
```

Principal peaks in the range 2θ = 10–90°, by angle:
d 2.314, 38.9 deg, rel. 100
d 2.255, 40.0 deg, rel. 35
d 1.991, 45.6 deg, rel. 64
d 1.394, 67.1 deg, rel. 19
d 1.391, 67.3 deg, rel. 19
d 1.311, 72.1 deg, rel. 16